[1]
Calculated powder XRD pattern of Bi10Pb6O21 for a wavelength of 1.5418 Å, from a cell relaxed with GGA-PBE.
Neutral-atom scattering factors, no anomalous dispersion.

Most intense lines, 10 to 80 degrees two-theta, by angle:
2θ 27.90, intensity 57.0
2θ 28.05, intensity 100.0
2θ 28.28, intensity 47.3
2θ 28.60, intensity 43.2
2θ 29.43, intensity 55.0
2θ 38.70, intensity 16.0
2θ 41.44, intensity 16.3
2θ 41.56, intensity 17.8
2θ 49.09, intensity 17.0
2θ 51.19, intensity 25.2

Crystal structure
a = 7.341 Å, b = 7.639 Å, c = 14.421 Å
α = 92.43°, β = 97.26°, γ = 117.71°
Positions (direct):
Bi: 0.001 0.314 0.075
Bi: 0.013 0.233 0.545
Bi: 0.141 0.924 0.187
Bi: 0.237 0.508 0.324
Bi: 0.431 0.228 0.979
Bi: 0.569 0.772 0.021
Bi: 0.763 0.492 0.676
Bi: 0.859 0.076 0.813
Bi: 0.987 0.767 0.455
Bi: 0.999 0.686 0.925
Pb: 0.229 0.981 0.707
Pb: 0.316 0.523 0.795
Pb: 0.480 0.216 0.446
Pb: 0.520 0.784 0.554
Pb: 0.684 0.477 0.205
Pb: 0.771 0.019 0.293
O: 0.006 0.910 0.323
O: 0.036 0.680 0.622
O: 0.038 0.173 0.196
O: 0.084 0.592 0.210
O: 0.172 0.263 0.879
O: 0.191 0.958 0.028
O: 0.214 0.053 0.531
O: 0.281 0.752 0.426
O: 0.314 0.748 0.897
O: 0.395 0.411 0.083
O: 0.500 0.500 0.500
O: 0.605 0.589 0.917
O: 0.686 0.252 0.103
O: 0.719 0.248 0.574
O: 0.786 0.947 0.469
O: 0.809 0.042 0.972
O: 0.828 0.737 0.121
O: 0.916 0.408 0.790
O: 0.962 0.827 0.804
O: 0.964 0.320 0.378
O: 0.994 0.090 0.677

---

[2]
Calculated powder XRD pattern of Bi2Pb2O7 for a wavelength of 1.5418 Å, from a cell relaxed with GGA-PBE.
Neutral-atom scattering factors, no anomalous dispersion.

Most intense lines, 10 to 80 degrees two-theta, by angle:
2θ 25.94, intensity 63.3
2θ 27.39, intensity 56.2
2θ 29.54, intensity 100.0
2θ 31.85, intensity 30.3
2θ 32.98, intensity 53.5
2θ 43.55, intensity 20.2
2θ 45.61, intensity 35.7
2θ 47.39, intensity 33.0
2θ 52.69, intensity 17.3
2θ 54.30, intensity 18.3

Crystal structure
a = 5.495 Å, b = 5.495 Å, c = 5.629 Å
α = 92.41°, β = 92.41°, γ = 81.49°
Positions (direct):
Bi: 0.249 0.751 0.000
Bi: 0.751 0.249 0.000
Pb: 0.267 0.267 0.457
Pb: 0.780 0.780 0.481
O: 0.008 0.537 0.204
O: 0.028 0.493 0.700
O: 0.029 0.029 0.258
O: 0.493 0.028 0.700
O: 0.520 0.520 0.365
O: 0.537 0.008 0.204
O: 0.979 0.979 0.774

---

[3]
Calculated powder XRD pattern of Bi12PbO19 for a wavelength of 1.5418 Å, from a cell relaxed with GGA-PBE.
Neutral-atom scattering factors, no anomalous dispersion.

Most intense lines, 10 to 80 degrees two-theta, by angle:
2θ 26.84, intensity 65.3
2θ 27.21, intensity 100.0
2θ 29.44, intensity 37.1
2θ 31.73, intensity 43.8
2θ 31.84, intensity 28.8
2θ 32.15, intensity 19.5
2θ 32.67, intensity 26.0
2θ 50.51, intensity 27.7
2θ 51.58, intensity 21.1
2θ 52.64, intensity 24.3

Crystal structure
a = 9.104 Å, b = 9.104 Å, c = 9.104 Å
α = 110.05°, β = 110.05°, γ = 110.05°
Positions (direct):
Bi: 0.017 0.845 0.138
Bi: 0.033 0.188 0.507
Bi: 0.138 0.017 0.845
Bi: 0.177 0.681 0.484
Bi: 0.188 0.507 0.033
Bi: 0.484 0.177 0.681
Bi: 0.498 0.645 0.858
Bi: 0.507 0.033 0.188
Bi: 0.645 0.858 0.498
Bi: 0.681 0.484 0.177
Bi: 0.845 0.138 0.017
Bi: 0.858 0.498 0.645
Pb: 0.372 0.372 0.372
O: 0.077 0.446 0.682
O: 0.086 0.701 0.964
O: 0.092 0.301 0.325
O: 0.219 0.955 0.568
O: 0.301 0.325 0.092
O: 0.325 0.092 0.301
O: 0.327 0.703 0.328
O: 0.328 0.327 0.703
O: 0.446 0.682 0.077
O: 0.568 0.219 0.955
O: 0.593 0.964 0.706
O: 0.682 0.077 0.446
O: 0.701 0.964 0.086
O: 0.703 0.328 0.327
O: 0.706 0.593 0.964
O: 0.939 0.939 0.939
O: 0.955 0.568 0.219
O: 0.964 0.086 0.701
O: 0.964 0.706 0.593

---

[4]
Calculated powder XRD pattern of BiPdPbO6 for a wavelength of 1.5418 Å, from a cell relaxed with GGA-PBE.
Neutral-atom scattering factors, no anomalous dispersion.

Most intense lines, 10 to 80 degrees two-theta, by angle:
2θ 25.24, intensity 100.0
2θ 32.21, intensity 88.7
2θ 36.00, intensity 28.3
2θ 49.07, intensity 70.0
2θ 51.83, intensity 16.3
2θ 58.50, intensity 17.3
2θ 61.31, intensity 17.3
2θ 62.35, intensity 20.2
2θ 67.39, intensity 10.3
2θ 74.15, intensity 16.3

Crystal structure
a = 4.989 Å, b = 4.989 Å, c = 10.040 Å
α = 90.00°, β = 90.00°, γ = 90.00°
Positions (direct):
Bi: 0.000 0.000 0.000
Bi: 0.500 0.500 0.500
Pd: 0.000 0.000 0.666
Pd: 0.500 0.500 0.166
Pb: 0.000 0.000 0.331
Pb: 0.500 0.500 0.831
O: 0.183 0.183 0.822
O: 0.184 0.184 0.509
O: 0.207 0.207 0.164
O: 0.293 0.707 0.664
O: 0.316 0.684 0.009
O: 0.317 0.683 0.322
O: 0.683 0.317 0.322
O: 0.684 0.316 0.009
O: 0.707 0.293 0.664
O: 0.793 0.793 0.164
O: 0.816 0.816 0.509
O: 0.817 0.817 0.822

---

[5]
Calculated powder XRD pattern of BiPt2PbO8 for a wavelength of 1.5418 Å, from a cell relaxed with GGA-PBE.
Neutral-atom scattering factors, no anomalous dispersion.

Most intense lines, 10 to 80 degrees two-theta, by angle:
2θ 13.87, intensity 59.2
2θ 17.43, intensity 20.8
2θ 22.35, intensity 30.3
2θ 27.95, intensity 31.2
2θ 30.43, intensity 100.0
2θ 33.13, intensity 23.9
2θ 33.59, intensity 26.7
2θ 41.79, intensity 72.5
2θ 54.08, intensity 25.2
2θ 61.97, intensity 21.9

Crystal structure
a = 5.874 Å, b = 5.874 Å, c = 6.384 Å
α = 90.00°, β = 90.00°, γ = 120.00°
Positions (direct):
Bi: 0.000 0.000 0.000
Pt: 0.333 0.667 0.950
Pt: 0.667 0.333 0.050
Pb: 0.000 0.000 0.500
O: 0.064 0.395 0.143
O: 0.331 0.936 0.143
O: 0.333 0.667 0.654
O: 0.395 0.331 0.857
O: 0.605 0.669 0.143
O: 0.667 0.333 0.346
O: 0.669 0.064 0.857
O: 0.936 0.605 0.857

---

[6]
Calculated powder XRD pattern of PuBiPbO for a wavelength of 1.5418 Å, from a cell relaxed with GGA-PBE.
Neutral-atom scattering factors, no anomalous dispersion.

Most intense lines, 10 to 80 degrees two-theta, by angle:
2θ 30.06, intensity 28.2
2θ 30.73, intensity 100.0
2θ 38.15, intensity 31.8
2θ 49.31, intensity 29.5
2θ 53.80, intensity 20.4
2θ 55.05, intensity 11.2
2θ 62.49, intensity 3.2
2θ 64.00, intensity 13.7
2θ 64.37, intensity 25.9
2θ 75.62, intensity 7.5

Crystal structure
a = 9.225 Å, b = 9.225 Å, c = 9.225 Å
α = 159.16°, β = 159.16°, γ = 29.64°
Positions (direct):
Pu: 0.000 0.000 0.000
Bi: 0.659 0.659 0.000
Pb: 0.320 0.320 0.000
O: 0.477 0.477 0.000

---

[7]
Calculated powder XRD pattern of ReBiPb2O6 for a wavelength of 1.5418 Å, from a cell relaxed with GGA-PBE.
Neutral-atom scattering factors, no anomalous dispersion.

Most intense lines, 10 to 80 degrees two-theta, by angle:
2θ 17.81, intensity 8.8
2θ 28.10, intensity 100.0
2θ 30.66, intensity 45.1
2θ 42.41, intensity 8.7
2θ 43.92, intensity 23.4
2θ 48.06, intensity 17.7
2θ 52.95, intensity 36.2
2θ 63.85, intensity 7.6
2θ 71.17, intensity 7.7
2θ 72.49, intensity 8.4

Crystal structure
a = 5.831 Å, b = 5.831 Å, c = 6.459 Å
α = 116.77°, β = 116.77°, γ = 90.00°
Positions (direct):
Re: 0.000 0.000 0.000
Bi: 0.432 0.432 0.864
Pb: 0.171 0.671 0.343
Pb: 0.671 0.171 0.343
O: 0.211 0.211 0.424
O: 0.273 0.273 0.065
O: 0.273 0.793 0.065
O: 0.793 0.273 0.065
O: 0.793 0.793 0.065
O: 0.821 0.821 0.642

---

[8]
Calculated powder XRD pattern of ScBi2PbO6 for a wavelength of 1.5418 Å, from a cell relaxed with GGA-PBE.
Neutral-atom scattering factors, no anomalous dispersion.

Most intense lines, 10 to 80 degrees two-theta, by angle:
2θ 18.10, intensity 20.0
2θ 20.79, intensity 28.2
2θ 29.25, intensity 97.9
2θ 29.88, intensity 100.0
2θ 42.30, intensity 42.2
2θ 47.16, intensity 26.8
2θ 51.47, intensity 15.2
2θ 52.65, intensity 43.8
2θ 53.04, intensity 27.0
2θ 70.08, intensity 17.1

Crystal structure
a = 6.110 Å, b = 6.110 Å, c = 6.110 Å
α = 58.61°, β = 58.61°, γ = 58.61°
Positions (direct):
Sc: 0.000 0.000 0.000
Bi: 0.291 0.291 0.291
Bi: 0.786 0.786 0.786
Pb: 0.509 0.509 0.509
O: 0.127 0.709 0.337
O: 0.168 0.640 0.882
O: 0.337 0.127 0.709
O: 0.640 0.882 0.168
O: 0.709 0.337 0.127
O: 0.882 0.168 0.640